# Mo
Theoretical PXRD pattern, Cu Kα. Input: DFT lattice parameters and positions (GGA-PBE).
Kinematic intensities with the Lorentz-polarization factor, no thermal factor.

Top 8 peaks for 2θ = 10–90°, low angle first:
| 2θ/deg | intensity |
| --- | --- |
| 36.74 | 9 |
| 39.05 | 100 |
| 43.37 | 32 |
| 45.41 | 11 |
| 47.37 | 15 |
| 67.71 | 11 |
| 70.75 | 23 |
| 83.90 | 8 |

Atomic structure:
Cell lengths 8.4743, 8.4743, 8.4743 Å; angles 109.47, 109.47, 109.47 degrees
Fractional coordinates of all 29 atoms:
Mo  0.0000  0.0000  0.0000
Mo  0.0000  0.0000  0.6343
Mo  0.0000  0.1901  0.3780
Mo  0.0000  0.3780  0.1901
Mo  0.0000  0.4104  0.6855
Mo  0.0000  0.6343  0.0000
Mo  0.0000  0.6855  0.4104
Mo  0.1879  0.8099  0.8099
Mo  0.1901  0.0000  0.3780
Mo  0.1901  0.3780  0.0000
Mo  0.2751  0.5896  0.5896
Mo  0.3145  0.3145  0.7249
Mo  0.3145  0.7249  0.3145
Mo  0.3657  0.3657  0.3657
Mo  0.3780  0.0000  0.1901
Mo  0.3780  0.1901  0.0000
Mo  0.4104  0.0000  0.6855
Mo  0.4104  0.6855  0.0000
Mo  0.5896  0.2751  0.5896
Mo  0.5896  0.5896  0.2751
Mo  0.6220  0.6220  0.8121
Mo  0.6220  0.8121  0.6220
Mo  0.6343  0.0000  0.0000
Mo  0.6855  0.0000  0.4104
Mo  0.6855  0.4104  0.0000
Mo  0.7249  0.3145  0.3145
Mo  0.8099  0.1879  0.8099
Mo  0.8099  0.8099  0.1879
Mo  0.8121  0.6220  0.6220

# MoN
Theoretical PXRD pattern, Cu Kα. Input: DFT lattice parameters and positions (GGA-PBE).
Kinematic intensities with the Lorentz-polarization factor, no thermal factor.

Top 8 peaks for 2θ = 10–90°, low angle first:
| 2θ/deg | intensity |
| --- | --- |
| 31.38 | 39 |
| 36.26 | 92 |
| 48.69 | 100 |
| 65.23 | 22 |
| 74.17 | 20 |
| 76.98 | 10 |
| 77.21 | 20 |
| 85.46 | 19 |

Atomic structure:
Cell lengths 2.8607, 2.8607, 11.4045 Å; angles 90.00, 90.00, 120.00 degrees
Fractional coordinates of all 8 atoms:
Mo  0.0000  0.0000  0.0000
Mo  0.0000  0.0000  0.2500
Mo  0.0000  0.0000  0.5000
Mo  0.0000  0.0000  0.7500
N  0.3333  0.6667  0.1291
N  0.3333  0.6667  0.3709
N  0.6667  0.3333  0.6291
N  0.6667  0.3333  0.8709

# Na2MoWN6
Theoretical PXRD pattern, Cu Kα. Input: DFT lattice parameters and positions (GGA-PBE).
Kinematic intensities with the Lorentz-polarization factor, no thermal factor.

Top 8 peaks for 2θ = 10–90°, low angle first:
| 2θ/deg | intensity |
| --- | --- |
| 22.40 | 91 |
| 31.88 | 100 |
| 45.71 | 32 |
| 51.48 | 37 |
| 56.81 | 39 |
| 66.64 | 19 |
| 71.27 | 18 |
| 75.78 | 17 |

Atomic structure:
Cell lengths 5.6139, 5.6139, 5.6139 Å; angles 60.00, 60.00, 60.00 degrees
Fractional coordinates of all 10 atoms:
Na  0.2500  0.2500  0.2500
Na  0.7500  0.7500  0.7500
Mo  0.0000  0.0000  0.0000
W  0.5000  0.5000  0.5000
N  0.2501  0.2501  0.7499
N  0.2501  0.7499  0.2501
N  0.2501  0.7499  0.7499
N  0.7499  0.2501  0.2501
N  0.7499  0.2501  0.7499
N  0.7499  0.7499  0.2501

# Nb2Tl3Mo4N3
Theoretical PXRD pattern, Cu Kα. Input: DFT lattice parameters and positions (GGA-PBE).
Kinematic intensities with the Lorentz-polarization factor, no thermal factor.

Top 8 peaks for 2θ = 10–90°, low angle first:
| 2θ/deg | intensity |
| --- | --- |
| 26.15 | 25 |
| 31.25 | 45 |
| 31.95 | 26 |
| 37.04 | 100 |
| 37.20 | 98 |
| 38.20 | 90 |
| 39.67 | 50 |
| 57.19 | 39 |

Atomic structure:
Cell lengths 5.7306, 5.7306, 14.0202 Å; angles 101.81, 101.81, 57.48 degrees
Fractional coordinates of all 24 atoms:
Nb  0.0333  0.8407  0.5781
Nb  0.1593  0.9667  0.9219
Nb  0.8407  0.0333  0.0781
Nb  0.9667  0.1593  0.4219
Tl  0.0860  0.2530  0.7474
Tl  0.2530  0.0860  0.2474
Tl  0.4311  0.5689  0.7500
Tl  0.5689  0.4311  0.2500
Tl  0.7470  0.9140  0.7526
Tl  0.9140  0.7470  0.2526
Mo  0.1873  0.3742  0.0748
Mo  0.3191  0.4660  0.4266
Mo  0.3742  0.1873  0.5748
Mo  0.4660  0.3191  0.9266
Mo  0.5340  0.6809  0.0734
Mo  0.6258  0.8127  0.4252
Mo  0.6809  0.5340  0.5734
Mo  0.8127  0.6258  0.9252
N  0.0000  0.5000  0.5000
N  0.1536  0.6738  0.9953
N  0.3262  0.8464  0.5047
N  0.5000  0.0000  0.0000
N  0.6738  0.1536  0.4953
N  0.8464  0.3262  0.0047

Copy entry 1 word for word.
# Mo
Theoretical PXRD pattern, Cu Kα. Input: DFT lattice parameters and positions (GGA-PBE).
Kinematic intensities with the Lorentz-polarization factor, no thermal factor.

Top 8 peaks for 2θ = 10–90°, low angle first:
| 2θ/deg | intensity |
| --- | --- |
| 36.74 | 9 |
| 39.05 | 100 |
| 43.37 | 32 |
| 45.41 | 11 |
| 47.37 | 15 |
| 67.71 | 11 |
| 70.75 | 23 |
| 83.90 | 8 |

Atomic structure:
Cell lengths 8.4743, 8.4743, 8.4743 Å; angles 109.47, 109.47, 109.47 degrees
Fractional coordinates of all 29 atoms:
Mo  0.0000  0.0000  0.0000
Mo  0.0000  0.0000  0.6343
Mo  0.0000  0.1901  0.3780
Mo  0.0000  0.3780  0.1901
Mo  0.0000  0.4104  0.6855
Mo  0.0000  0.6343  0.0000
Mo  0.0000  0.6855  0.4104
Mo  0.1879  0.8099  0.8099
Mo  0.1901  0.0000  0.3780
Mo  0.1901  0.3780  0.0000
Mo  0.2751  0.5896  0.5896
Mo  0.3145  0.3145  0.7249
Mo  0.3145  0.7249  0.3145
Mo  0.3657  0.3657  0.3657
Mo  0.3780  0.0000  0.1901
Mo  0.3780  0.1901  0.0000
Mo  0.4104  0.0000  0.6855
Mo  0.4104  0.6855  0.0000
Mo  0.5896  0.2751  0.5896
Mo  0.5896  0.5896  0.2751
Mo  0.6220  0.6220  0.8121
Mo  0.6220  0.8121  0.6220
Mo  0.6343  0.0000  0.0000
Mo  0.6855  0.0000  0.4104
Mo  0.6855  0.4104  0.0000
Mo  0.7249  0.3145  0.3145
Mo  0.8099  0.1879  0.8099
Mo  0.8099  0.8099  0.1879
Mo  0.8121  0.6220  0.6220

Repeat the second record exactly.
# MoN
Theoretical PXRD pattern, Cu Kα. Input: DFT lattice parameters and positions (GGA-PBE).
Kinematic intensities with the Lorentz-polarization factor, no thermal factor.

Top 8 peaks for 2θ = 10–90°, low angle first:
| 2θ/deg | intensity |
| --- | --- |
| 31.38 | 39 |
| 36.26 | 92 |
| 48.69 | 100 |
| 65.23 | 22 |
| 74.17 | 20 |
| 76.98 | 10 |
| 77.21 | 20 |
| 85.46 | 19 |

Atomic structure:
Cell lengths 2.8607, 2.8607, 11.4045 Å; angles 90.00, 90.00, 120.00 degrees
Fractional coordinates of all 8 atoms:
Mo  0.0000  0.0000  0.0000
Mo  0.0000  0.0000  0.2500
Mo  0.0000  0.0000  0.5000
Mo  0.0000  0.0000  0.7500
N  0.3333  0.6667  0.1291
N  0.3333  0.6667  0.3709
N  0.6667  0.3333  0.6291
N  0.6667  0.3333  0.8709